Calculated X-ray diffraction stick pattern
Compound: NaV2Bi3O10
Radiation: Cu Kα, 1.54184 Å
Structure: DFT lattice parameters and positions (GGA+U)
Lines closer than 0.1° are merged.

The 10 most intense peaks (2θ = 5–70°), sorted by position:
d (Å), intensity, h k l
6.147, 54, 0 1 0
5.049, 24, 1 1 0
3.432, 22, 1 2 1
3.385, 100, 1 -1 0
3.250, 51, 1 2 0
3.196, 46, 1 1 2
2.903, 51, 1 0 -2
2.835, 29, 0 2 2
2.824, 22, 2 1 0
2.596, 22, 0 1 -2

Structural model:
```
data_NaV2Bi3O10
_chemical_formula_sum 'Na1 V2 Bi3 O10'
_space_group_name_H-M_alt 'P 1'
_space_group_IT_number 1
_cell_length_a 5.6829
_cell_length_b 7.1595
_cell_length_c 7.2798
_cell_angle_alpha 68.42
_cell_angle_beta 84.14
_cell_angle_gamma 66.86
loop_
_space_group_symop_operation_xyz
'x,y,z'
loop_
_atom_site_label
_atom_site_fract_x
_atom_site_fract_y
_atom_site_fract_z
Na1 0.0000 0.0000 0.0000
V1 0.3418 0.3163 0.7936
V2 0.8958 0.0450 0.4738
Bi1 0.2096 0.3905 0.2584
Bi2 0.5431 0.6703 0.3827
Bi3 0.6799 0.7054 0.8858
O1 0.0906 0.4049 0.9469
O2 0.1521 0.9707 0.3240
O3 0.2678 0.4749 0.5358
O4 0.3912 0.0475 0.8395
O5 0.4034 0.6305 0.1404
O6 0.6029 0.3375 0.8609
O7 0.6250 0.0432 0.3902
O8 0.8412 0.7053 0.1441
O9 0.8554 0.3130 0.4462
O10 0.9564 0.8794 0.7226
```